(1)
For Np2Pa2Se7, the GGA-PBE geometry in Alexandria gives the theoretical powder X-ray diffraction pattern in this record (λ = 1.5418 Å (Cu Kα)).
Intensities are scaled so that the largest is 100.

Structural model:
```
data_Np2Pa2Se7
_chemical_formula_sum 'Np2 Pa2 Se7'
_symmetry_space_group_name_H-M 'P 1'
_symmetry_Int_Tables_number 1
_symmetry_space_group_name_Hall 'P 1'
_cell_length_a 4.8241
_cell_length_b 4.8241
_cell_length_c 13.6076
_cell_angle_alpha 90.00
_cell_angle_beta 90.00
_cell_angle_gamma 90.00
loop_
_atom_site_label
_atom_site_type_symbol
_atom_site_fract_x
_atom_site_fract_y
_atom_site_fract_z
_atom_site_occupancy
Np1 Np 0.0000 0.5000 0.1317 1
Np2 Np 0.5000 0.0000 0.8683 1
Pa1 Pa 0.0000 0.5000 0.6281 1
Pa2 Pa 0.5000 0.0000 0.3719 1
Se1 Se 0.0000 0.0000 0.2427 1
Se2 Se 0.0000 0.0000 0.5000 1
Se3 Se 0.0000 0.0000 0.7573 1
Se4 Se 0.5000 0.5000 0.0000 1
Se5 Se 0.5000 0.5000 0.2554 1
Se6 Se 0.5000 0.5000 0.5000 1
Se7 Se 0.5000 0.5000 0.7446 1
```

The 12 most intense peaks (2θ = 10–90°), by intensity:
d/Å, two_theta, I_rel
2.410, 37.3, 100
3.935, 22.6, 92
2.055, 44.1, 49
1.392, 67.3, 24
1.564, 59.1, 21
1.312, 71.9, 12
1.706, 53.7, 12
1.390, 67.4, 11
1.153, 83.9, 11
1.204, 79.6, 7
3.408, 26.1, 7
1.701, 53.9, 6

(2)
For LaScNbO6, the GGA-PBE geometry in Alexandria gives the theoretical powder X-ray diffraction pattern in this record (λ = 1.5418 Å (Cu Kα)).
Intensities are scaled so that the largest is 100.

Structural model:
```
data_LaScNbO6
_chemical_formula_sum 'La1 Sc1 Nb1 O6'
_symmetry_space_group_name_H-M 'P 1'
_symmetry_Int_Tables_number 1
_symmetry_space_group_name_Hall 'P 1'
_cell_length_a 5.4579
_cell_length_b 5.4579
_cell_length_c 5.0844
_cell_angle_alpha 90.00
_cell_angle_beta 90.00
_cell_angle_gamma 120.00
loop_
_atom_site_label
_atom_site_type_symbol
_atom_site_fract_x
_atom_site_fract_y
_atom_site_fract_z
_atom_site_occupancy
La1 La 0.0000 0.0000 0.0000 1
Sc1 Sc 0.3333 0.6667 0.5000 1
Nb1 Nb 0.6667 0.3333 0.5000 1
O1 O 0.3695 0.0133 0.7177 1
O2 O 0.3695 0.3562 0.2823 1
O3 O 0.6438 0.0133 0.2823 1
O4 O 0.6438 0.6305 0.7177 1
O5 O 0.9867 0.3562 0.7177 1
O6 O 0.9867 0.6305 0.2823 1
```

The 12 most intense peaks (2θ = 10–90°), by intensity:
d/Å, two_theta, I_rel
3.462, 25.7, 100
1.860, 49.0, 37
2.729, 32.8, 30
2.143, 42.2, 25
1.685, 54.4, 24
1.576, 58.6, 13
4.727, 18.8, 12
1.269, 74.8, 10
1.595, 57.8, 10
1.230, 77.7, 8
1.202, 79.8, 8
1.377, 68.1, 7

(3)
For K4SnHg2As2, the GGA-PBE geometry in Alexandria gives the theoretical powder X-ray diffraction pattern in this record (λ = 1.5418 Å (Cu Kα)).
Intensities are scaled so that the largest is 100.

Structural model:
```
data_K4SnHg2As2
_chemical_formula_sum 'K4 Sn1 Hg2 As2'
_symmetry_space_group_name_H-M 'P 1'
_symmetry_Int_Tables_number 1
_symmetry_space_group_name_Hall 'P 1'
_cell_length_a 9.2085
_cell_length_b 9.2085
_cell_length_c 4.6853
_cell_angle_alpha 104.68
_cell_angle_beta 104.68
_cell_angle_gamma 63.74
loop_
_atom_site_label
_atom_site_type_symbol
_atom_site_fract_x
_atom_site_fract_y
_atom_site_fract_z
_atom_site_occupancy
K1 K 0.1171 0.6193 0.8674 1
K2 K 0.3807 0.8829 0.1326 1
K3 K 0.6193 0.1171 0.8674 1
K4 K 0.8829 0.3807 0.1326 1
Sn1 Sn 0.0000 0.0000 0.5000 1
Hg1 Hg 0.3033 0.3033 0.3026 1
Hg2 Hg 0.6967 0.6967 0.6974 1
As1 As 0.1836 0.1836 0.6837 1
As2 As 0.8164 0.8164 0.3163 1
```

The 12 most intense peaks (2θ = 10–90°), by intensity:
d/Å, two_theta, I_rel
3.291, 27.1, 100
4.862, 18.2, 87
2.792, 32.1, 86
7.464, 11.9, 86
3.674, 24.2, 77
2.518, 35.7, 73
2.236, 40.3, 71
1.749, 52.3, 54
4.430, 20.0, 52
2.431, 37.0, 42
2.343, 38.4, 38
4.074, 21.8, 36

(4)
For NaCeTl, the GGA-PBE geometry in Alexandria gives the theoretical powder X-ray diffraction pattern in this record (λ = 1.5418 Å (Cu Kα)).
Intensities are scaled so that the largest is 100.

Structural model:
```
data_NaCeTl
_chemical_formula_sum 'Na2 Ce2 Tl2'
_symmetry_space_group_name_H-M 'P 1'
_symmetry_Int_Tables_number 1
_symmetry_space_group_name_Hall 'P 1'
_cell_length_a 8.3130
_cell_length_b 7.7450
_cell_length_c 5.2444
_cell_angle_alpha 76.92
_cell_angle_beta 65.16
_cell_angle_gamma 37.92
loop_
_atom_site_label
_atom_site_type_symbol
_atom_site_fract_x
_atom_site_fract_y
_atom_site_fract_z
_atom_site_occupancy
Na1 Na 0.1687 0.8313 0.1687 1
Na2 Na 0.8313 0.1687 0.8313 1
Ce1 Ce 0.2500 0.2500 0.2500 1
Ce2 Ce 0.7500 0.7500 0.7500 1
Tl1 Tl 0.3916 0.3916 0.6084 1
Tl2 Tl 0.6084 0.6084 0.3916 1
```

The 12 most intense peaks (2θ = 10–90°), by intensity:
d/Å, two_theta, I_rel
4.674, 19.0, 100
2.472, 36.3, 94
2.738, 32.7, 73
3.669, 24.3, 39
2.309, 39.0, 36
2.540, 35.3, 34
2.790, 32.1, 29
1.569, 58.8, 27
3.427, 26.0, 25
1.713, 53.5, 24
7.127, 12.4, 18
2.140, 42.2, 17

(5)
For La4Re, the GGA-PBE geometry in Alexandria gives the theoretical powder X-ray diffraction pattern in this record (λ = 1.5418 Å (Cu Kα)).
Intensities are scaled so that the largest is 100.

Structural model:
```
data_La4Re
_chemical_formula_sum 'La4 Re1'
_symmetry_space_group_name_H-M 'P 1'
_symmetry_Int_Tables_number 1
_symmetry_space_group_name_Hall 'P 1'
_cell_length_a 6.6267
_cell_length_b 6.6267
_cell_length_c 6.6267
_cell_angle_alpha 49.99
_cell_angle_beta 49.99
_cell_angle_gamma 49.99
loop_
_atom_site_label
_atom_site_type_symbol
_atom_site_fract_x
_atom_site_fract_y
_atom_site_fract_z
_atom_site_occupancy
La1 La 0.1206 0.1206 0.1206 1
La2 La 0.3445 0.3445 0.3445 1
La3 La 0.6555 0.6555 0.6555 1
La4 La 0.8794 0.8794 0.8794 1
Re1 Re 0.5000 0.5000 0.5000 1
```

The 12 most intense peaks (2θ = 10–90°), by intensity:
d/Å, two_theta, I_rel
2.800, 32.0, 100
2.822, 31.7, 39
1.617, 57.0, 27
3.233, 27.6, 23
2.012, 45.1, 22
1.400, 66.8, 21
1.621, 56.8, 15
1.980, 45.8, 15
1.988, 45.6, 14
4.671, 19.0, 13
2.892, 30.9, 10
1.287, 73.6, 8

(6)
For U3Co7B2, the GGA-PBE geometry in Alexandria gives the theoretical powder X-ray diffraction pattern in this record (λ = 1.5418 Å (Cu Kα)).
Intensities are scaled so that the largest is 100.

Structural model:
```
data_U3Co7B2
_chemical_formula_sum 'U6 Co14 B4'
_symmetry_space_group_name_H-M 'P 1'
_symmetry_Int_Tables_number 1
_symmetry_space_group_name_Hall 'P 1'
_cell_length_a 4.9540
_cell_length_b 4.9540
_cell_length_c 13.9481
_cell_angle_alpha 90.00
_cell_angle_beta 90.00
_cell_angle_gamma 120.00
loop_
_atom_site_label
_atom_site_type_symbol
_atom_site_fract_x
_atom_site_fract_y
_atom_site_fract_z
_atom_site_occupancy
U1 U 0.3333 0.6667 0.0300 1
U2 U 0.3333 0.6667 0.2500 1
U3 U 0.3333 0.6667 0.4700 1
U4 U 0.6667 0.3333 0.5300 1
U5 U 0.6667 0.3333 0.7500 1
U6 U 0.6667 0.3333 0.9700 1
Co1 Co 0.0000 0.0000 0.0000 1
Co2 Co 0.0000 0.0000 0.5000 1
Co3 Co 0.1651 0.3303 0.6466 1
Co4 Co 0.1651 0.3303 0.8534 1
Co5 Co 0.1651 0.8349 0.6466 1
Co6 Co 0.1651 0.8349 0.8534 1
Co7 Co 0.3303 0.1651 0.1466 1
Co8 Co 0.3303 0.1651 0.3534 1
Co9 Co 0.6697 0.8349 0.6466 1
Co10 Co 0.6697 0.8349 0.8534 1
Co11 Co 0.8349 0.1651 0.1466 1
Co12 Co 0.8349 0.1651 0.3534 1
Co13 Co 0.8349 0.6697 0.1466 1
Co14 Co 0.8349 0.6697 0.3534 1
B1 B 0.0000 0.0000 0.2500 1
B2 B 0.0000 0.0000 0.7500 1
B3 B 0.3333 0.6667 0.7500 1
B4 B 0.6667 0.3333 0.2500 1
```

The 12 most intense peaks (2θ = 10–90°), by intensity:
d/Å, two_theta, I_rel
2.338, 38.5, 100
2.019, 44.9, 79
2.477, 36.3, 53
2.120, 42.6, 45
1.402, 66.7, 38
4.101, 21.7, 29
2.706, 33.1, 24
1.256, 75.7, 24
4.290, 20.7, 21
1.323, 71.3, 20
1.238, 77.0, 18
2.145, 42.1, 18

(7)
For LaIn2TcO8, the GGA-PBE geometry in Alexandria gives the theoretical powder X-ray diffraction pattern in this record (λ = 1.5418 Å (Cu Kα)).
Intensities are scaled so that the largest is 100.

Structural model:
```
data_LaIn2TcO8
_chemical_formula_sum 'La1 In2 Tc1 O8'
_symmetry_space_group_name_H-M 'P 1'
_symmetry_Int_Tables_number 1
_symmetry_space_group_name_Hall 'P 1'
_cell_length_a 4.9712
_cell_length_b 6.7970
_cell_length_c 4.9841
_cell_angle_alpha 90.00
_cell_angle_beta 90.19
_cell_angle_gamma 90.00
loop_
_atom_site_label
_atom_site_type_symbol
_atom_site_fract_x
_atom_site_fract_y
_atom_site_fract_z
_atom_site_occupancy
La1 La 0.0000 0.0000 0.0000 1
In1 In 0.5000 0.2544 0.5000 1
In2 In 0.5000 0.7456 0.5000 1
Tc1 Tc 0.0000 0.5000 0.0000 1
O1 O 0.1874 0.3021 0.8153 1
O2 O 0.1874 0.6979 0.8153 1
O3 O 0.2813 0.5000 0.2836 1
O4 O 0.3158 0.0000 0.3193 1
O5 O 0.6842 0.0000 0.6807 1
O6 O 0.7187 0.5000 0.7164 1
O7 O 0.8126 0.3021 0.1847 1
O8 O 0.8126 0.6979 0.1847 1
```

The 12 most intense peaks (2θ = 10–90°), by intensity:
d/Å, two_theta, I_rel
3.520, 25.3, 100
2.807, 31.9, 84
1.863, 48.9, 50
2.489, 36.1, 23
1.859, 49.0, 17
1.530, 60.5, 16
1.493, 62.2, 10
1.489, 62.3, 10
1.403, 66.6, 9
1.757, 52.1, 8
1.763, 51.9, 8
1.574, 58.7, 7

(8)
For KNa3N8, the GGA-PBE geometry in Alexandria gives the theoretical powder X-ray diffraction pattern in this record (λ = 1.5418 Å (Cu Kα)).
Intensities are scaled so that the largest is 100.

Structural model:
```
data_KNa3N8
_chemical_formula_sum 'K1 Na3 N8'
_symmetry_space_group_name_H-M 'P 1'
_symmetry_Int_Tables_number 1
_symmetry_space_group_name_Hall 'P 1'
_cell_length_a 5.6489
_cell_length_b 5.6651
_cell_length_c 5.9334
_cell_angle_alpha 97.28
_cell_angle_beta 97.48
_cell_angle_gamma 95.70
loop_
_atom_site_label
_atom_site_type_symbol
_atom_site_fract_x
_atom_site_fract_y
_atom_site_fract_z
_atom_site_occupancy
K1 K 0.0000 0.0000 0.0000 1
Na1 Na 0.0960 0.4959 0.5624 1
Na2 Na 0.5005 0.9014 0.4402 1
Na3 Na 0.5618 0.4401 0.0028 1
N1 N 0.0922 0.0529 0.4842 1
N2 N 0.0930 0.4936 0.9703 1
N3 N 0.1641 0.5675 0.1671 1
N4 N 0.4340 0.8335 0.8359 1
N5 N 0.5065 0.9057 0.0328 1
N6 N 0.5923 0.3920 0.5994 1
N7 N 0.6031 0.4046 0.4047 1
N8 N 0.9445 0.9032 0.5166 1
```

The 12 most intense peaks (2θ = 10–90°), by intensity:
d/Å, two_theta, I_rel
2.781, 32.2, 100
2.790, 32.1, 99
2.912, 30.7, 96
2.174, 41.5, 89
2.618, 34.3, 80
2.097, 43.1, 43
2.385, 37.7, 32
2.380, 37.8, 26
2.747, 32.6, 26
1.881, 48.4, 23
1.887, 48.2, 22
1.704, 53.8, 17